# 1
This entry pairs a crystal structure of YH5S3O13 with its theoretical powder diffractogram. Radiation: CuKα. Structure: DFT lattice parameters and positions (PBE).
Lines closer than 0.1° are merged.

Largest 10 diffraction maxima, most intense first, 2θ = 10–90°:
- 16.29°, intensity 100
- 27.14°, intensity 57
- 13.31°, intensity 43
- 26.87°, intensity 43
- 22.43°, intensity 43
- 26.27°, intensity 35
- 25.37°, intensity 33
- 24.87°, intensity 30
- 26.55°, intensity 28
- 27.54°, intensity 25

Crystal structure
Cell lengths 6.9186, 8.1914, 9.6826 Å; angles 81.07, 78.87, 77.01 degrees
Space group P-1 (No. 2)
Inequivalent atoms, fractional coordinates:
Y: 0.1366 0.1829 0.1973 [2 per cell]
H: 0.0412 0.2718 0.6958 [2 per cell]
H: 0.2089 0.4353 0.3676 [2 per cell]
H: 0.3969 0.2873 0.3814 [2 per cell]
H: 0.4364 0.6492 0.1135 [2 per cell]
H: 0.4933 0.3457 0.6156 [2 per cell]
S: 0.1930 0.3840 0.8220 [2 per cell]
S: 0.2130 0.7929 0.4510 [2 per cell]
S: 0.3081 0.8397 0.9551 [2 per cell]
O: 0.0533 0.5353 0.7752 [2 per cell]
O: 0.1096 0.8417 0.5880 [2 per cell]
O: 0.1249 0.6720 0.3965 [2 per cell]
O: 0.1578 0.2358 0.7531 [2 per cell]
O: 0.1655 0.3387 0.9752 [2 per cell]
O: 0.1728 0.8243 0.8614 [2 per cell]
O: 0.2179 0.9690 0.0499 [2 per cell]
O: 0.2454 0.9363 0.3442 [2 per cell]
O: 0.2683 0.3192 0.3465 [2 per cell]
O: 0.3345 0.6633 0.0483 [2 per cell]
O: 0.4065 0.3952 0.7683 [2 per cell]
O: 0.4284 0.6946 0.4788 [2 per cell]
O: 0.4948 0.1382 0.1235 [2 per cell]

# 2
This entry pairs a crystal structure of ZnH12S2O12 with its theoretical powder diffractogram. Radiation: CuKα. Structure: DFT lattice parameters and positions (PBE).
Lines closer than 0.1° are merged.

Largest 10 diffraction maxima, most intense first, 2θ = 10–90°:
- 18.24°, intensity 100
- 17.74°, intensity 74
- 20.44°, intensity 67
- 26.80°, intensity 56
- 20.80°, intensity 56
- 16.61°, intensity 47
- 20.27°, intensity 42
- 33.80°, intensity 22
- 43.02°, intensity 22
- 29.20°, intensity 21

Crystal structure
Cell lengths 6.4878, 6.7429, 6.9993 Å; angles 101.98, 96.31, 94.96 degrees
Space group P-1 (No. 2)
Inequivalent atoms, fractional coordinates:
Zn: 0.0000 0.0000 0.0000 [1 per cell]
H: 0.0633 0.4075 0.1842 [2 per cell]
H: 0.1799 0.6712 0.8317 [2 per cell]
H: 0.1940 0.8392 0.2923 [2 per cell]
H: 0.2054 0.0755 0.3886 [2 per cell]
H: 0.2918 0.1531 0.8128 [2 per cell]
H: 0.3907 0.1836 0.0357 [2 per cell]
S: 0.4985 0.5471 0.3584 [2 per cell]
O: 0.0499 0.6961 0.8893 [2 per cell]
O: 0.1316 0.9653 0.2826 [2 per cell]
O: 0.2829 0.5898 0.3092 [2 per cell]
O: 0.2935 0.0917 0.9289 [2 per cell]
O: 0.3459 0.2728 0.6021 [2 per cell]
O: 0.4426 0.6305 0.7774 [2 per cell]

# 3
This entry pairs a crystal structure of ZnH2S2O8 with its theoretical powder diffractogram. Radiation: CuKα. Structure: DFT lattice parameters and positions (PBE).
Lines closer than 0.1° are merged.

Largest 10 diffraction maxima, most intense first, 2θ = 10–90°:
- 15.97°, intensity 100
- 22.76°, intensity 48
- 25.44°, intensity 43
- 24.49°, intensity 35
- 29.85°, intensity 31
- 32.26°, intensity 31
- 23.05°, intensity 27
- 29.45°, intensity 26
- 37.15°, intensity 23
- 31.61°, intensity 17

Crystal structure
Cell lengths 4.9875, 8.3315, 8.3916 Å; angles 90.00, 117.52, 90.00 degrees
Space group P2_1/c (No. 14)
Inequivalent atoms, fractional coordinates:
Zn: 0.0000 0.0000 0.0000 [2 per cell]
H: 0.4357 0.0190 0.6630 [4 per cell]
S: 0.3337 0.6797 0.2858 [4 per cell]
O: 0.0788 0.6326 0.3168 [4 per cell]
O: 0.3026 0.6506 0.7266 [4 per cell]
O: 0.3146 0.5838 0.1208 [4 per cell]
O: 0.3706 0.1508 0.0587 [4 per cell]